# HoGe3Rh5
Computed XRD peak list, Cu Ka. Input: a GGA-PBE-relaxed structure.

Principal peaks in the range 2θ from 10° to 90°, sorted by position:
- 31.04°, 2.881 Å, rel. 42, hkl 1 3 0
- 31.87°, 2.808 Å, rel. 37, hkl 1 3 1
- 32.26°, 2.775 Å, rel. 91, hkl 1 1 3
- 34.27°, 2.617 Å, rel. 68, hkl 1 3 2
- 37.59°, 2.393 Å, rel. 87, hkl 1 1 4
- 42.73°, 2.116 Å, rel. 46, hkl 0 6 1
- 44.62°, 2.031 Å, rel. 100, hkl 1 5 2
- 46.74°, 1.943 Å, rel. 69, hkl 2 0 0
- 47.65°, 1.908 Å, rel. 30, hkl 0 6 3
- 65.19°, 1.431 Å, rel. 37, hkl 0 8 4

Structural model:
```
data_HoGe3Rh5
_chemical_formula_sum 'Ho4 Ge12 Rh20'
_cell_length_a 3.887
_cell_length_b 12.879
_cell_length_c 12.496
_cell_angle_alpha 90.00
_cell_angle_beta 90.00
_cell_angle_gamma 90.00
_space_group_name_H-M_alt 'C m c m'
_space_group_IT_number 63
_space_group_name_Hall '-C 2c 2'
loop_
_atom_site_label
_atom_site_fract_x
_atom_site_fract_y
_atom_site_fract_z
Ho1 0.000 0.129 0.250
Ge1 0.000 0.121 0.750
Ge2 0.000 0.379 0.542
Rh1 0.000 0.000 0.000
Rh2 0.000 0.199 0.573
Rh3 0.000 0.456 0.146
```